For Nd3Re2O9, a DFT-relaxed cell (GGA-PBE, the Materials Project) gives the calculated powder diffraction line list in this record (CuKα).
Kinematic intensities with the Lorentz-polarization factor, no thermal factor.

The 10 most intense peaks (2θ = 10–90°), in order of rising 2θ:
17.8°, I 19
26.2°, I 38
26.5°, I 100
28.0°, I 57
30.7°, I 31
31.2°, I 21
31.8°, I 48
44.1°, I 15
46.0°, I 16
53.8°, I 16

Cell and atoms:
Lattice parameters (Å, degrees): 5.6382 6.8480 11.1028 77.01 75.55 69.11
Fractional positions:
Nd: 0.0026 0.2244 0.2705
Nd: 0.2215 0.1634 0.8821
Nd: 0.2842 0.5945 0.3795
Nd: 0.7158 0.4055 0.6205
Nd: 0.7785 0.8366 0.1179
Nd: 0.9974 0.7756 0.7295
Re: 0.3558 0.1229 0.5713
Re: 0.4899 0.6136 0.9079
Re: 0.5101 0.3864 0.0921
Re: 0.6442 0.8771 0.4287
O: 0.0600 0.1143 0.7126
O: 0.1079 0.2534 0.4607
O: 0.1423 0.8135 0.9368
O: 0.1738 0.5110 0.1911
O: 0.3047 0.4188 0.5897
O: 0.3585 0.4768 0.8150
O: 0.3719 0.8177 0.5790
O: 0.3824 0.1712 0.0710
O: 0.4129 0.9426 0.3110
O: 0.5871 0.0574 0.6890
O: 0.6176 0.8288 0.9290
O: 0.6281 0.1823 0.4210
O: 0.6415 0.5232 0.1850
O: 0.6953 0.5812 0.4103
O: 0.8262 0.4890 0.8089
O: 0.8577 0.1865 0.0632
O: 0.8921 0.7466 0.5393
O: 0.9400 0.8857 0.2874


For TiS2, a DFT-relaxed cell (GGA-PBE, the Materials Project) gives the calculated powder diffraction line list in this record (CuKα).
Kinematic intensities with the Lorentz-polarization factor, no thermal factor.

The 10 most intense peaks (2θ = 10–90°), in order of rising 2θ:
13.2°, I 100
33.0°, I 65
37.7°, I 13
40.6°, I 35
47.3°, I 15
51.1°, I 9
53.6°, I 22
55.4°, I 11
59.2°, I 9
88.8°, I 13

Cell and atoms:
Lattice parameters (Å, degrees): 3.4205 3.4205 20.1829 90.00 90.00 120.00
Fractional positions:
Ti: 0.0000 0.0000 0.0000
Ti: 0.0000 0.0000 0.3544
Ti: 0.0000 0.0000 0.6456
S: 0.3333 0.6667 0.0702
S: 0.3333 0.6667 0.4244
S: 0.3333 0.6667 0.7158
S: 0.6667 0.3333 0.2842
S: 0.6667 0.3333 0.5756
S: 0.6667 0.3333 0.9298


For CoPt3, a DFT-relaxed cell (GGA-PBE, the Materials Project) gives the calculated powder diffraction line list in this record (CuKα).
Kinematic intensities with the Lorentz-polarization factor, no thermal factor.

The 10 most intense peaks (2θ = 10–90°), in order of rising 2θ:
19.7°, I 5
29.7°, I 9
40.0°, I 100
41.3°, I 7
46.6°, I 48
58.9°, I 6
68.0°, I 30
71.3°, I 5
81.9°, I 34
86.5°, I 10

Cell and atoms:
Lattice parameters (Å, degrees): 9.1506 9.1506 9.1506 17.33 17.33 17.33
Fractional positions:
Co: 0.0000 0.0000 0.0000
Pt: 0.2560 0.2560 0.2560
Pt: 0.5000 0.5000 0.5000
Pt: 0.7440 0.7440 0.7440


For TiCrS4, a DFT-relaxed cell (GGA-PBE, the Materials Project) gives the calculated powder diffraction line list in this record (CuKα).
Kinematic intensities with the Lorentz-polarization factor, no thermal factor.

The 10 most intense peaks (2θ = 10–90°), in order of rising 2θ:
15.9°, I 100
30.6°, I 31
30.8°, I 17
37.1°, I 100
37.4°, I 49
53.3°, I 15
53.5°, I 15
53.7°, I 61
66.9°, I 15
67.1°, I 15

Cell and atoms:
Lattice parameters (Å, degrees): 6.8333 6.8333 6.8333 119.83 119.63 90.47
Fractional positions:
Ti: 0.0000 0.0000 0.0000
Ti: 0.5000 0.0000 0.5000
Cr: 0.5000 0.0000 0.0000
Cr: 0.5000 0.5000 0.5000
S: 0.2533 0.2533 0.5000
S: 0.2533 0.7532 0.0000
S: 0.2605 0.7489 0.5116
S: 0.2628 0.2511 0.0116
S: 0.7372 0.7489 0.9884
S: 0.7395 0.2511 0.4884
S: 0.7467 0.2468 0.0000
S: 0.7467 0.7467 0.5000


For Cr5Ge3, a DFT-relaxed cell (GGA-PBE, the Materials Project) gives the calculated powder diffraction line list in this record (CuKα).
Kinematic intensities with the Lorentz-polarization factor, no thermal factor.

The 10 most intense peaks (2θ = 10–90°), in order of rising 2θ:
38.2°, I 21
39.8°, I 29
43.0°, I 66
43.4°, I 70
44.4°, I 100
47.4°, I 33
56.6°, I 29
57.3°, I 15
73.3°, I 20
85.7°, I 18

Cell and atoms:
Lattice parameters (Å, degrees): 7.0004 7.0004 7.0004 96.52 96.52 140.63
Fractional positions:
Cr: 0.0782 0.7649 0.8431
Cr: 0.2351 0.0782 0.3133
Cr: 0.2500 0.7500 0.5000
Cr: 0.2649 0.5782 0.8431
Cr: 0.4218 0.2649 0.6867
Cr: 0.5782 0.7351 0.3133
Cr: 0.7351 0.4218 0.1569
Cr: 0.7500 0.2500 0.5000
Cr: 0.7649 0.9218 0.6867
Cr: 0.9218 0.2351 0.1569
Ge: 0.1666 0.3334 0.5000
Ge: 0.2500 0.2500 0.0000
Ge: 0.3334 0.8334 0.1668
Ge: 0.6666 0.1666 0.8332
Ge: 0.7500 0.7500 0.0000
Ge: 0.8334 0.6666 0.5000


For Na2CO3, a DFT-relaxed cell (GGA-PBE, the Materials Project) gives the calculated powder diffraction line list in this record (CuKα).
Kinematic intensities with the Lorentz-polarization factor, no thermal factor.

The 10 most intense peaks (2θ = 10–90°), in order of rising 2θ:
29.6°, I 87
33.6°, I 48
33.9°, I 54
35.0°, I 100
37.4°, I 95
39.5°, I 61
40.8°, I 98
45.9°, I 33
47.4°, I 62
52.8°, I 32

Cell and atoms:
Lattice parameters (Å, degrees): 5.2156 5.2156 6.1654 100.02 100.02 61.42
Fractional positions:
Na: 0.0000 0.0000 0.0000
Na: 0.0000 0.0000 0.5000
Na: 0.3286 0.3286 0.7447
Na: 0.6714 0.6714 0.2553
C: 0.3366 0.3366 0.2519
C: 0.6634 0.6634 0.7481
O: 0.1890 0.6113 0.2161
O: 0.2097 0.2097 0.3237
O: 0.3887 0.8111 0.7839
O: 0.6113 0.1890 0.2161
O: 0.7903 0.7903 0.6763
O: 0.8111 0.3887 0.7839


For Tm2OsRh, a DFT-relaxed cell (GGA-PBE, the Materials Project) gives the calculated powder diffraction line list in this record (CuKα).
Kinematic intensities with the Lorentz-polarization factor, no thermal factor.

The 10 most intense peaks (2θ = 10–90°), in order of rising 2θ:
22.8°, I 4
26.4°, I 1
37.7°, I 100
44.6°, I 2
54.4°, I 17
59.8°, I 1
68.1°, I 36
72.9°, I 1
80.6°, I 11
85.1°, I 1

Cell and atoms:
Lattice parameters (Å, degrees): 4.7692 4.7692 4.7692 60.00 60.00 60.00
Fractional positions:
Tm: 0.2500 0.2500 0.2500
Tm: 0.7500 0.7500 0.7500
Os: 0.0000 0.0000 0.0000
Rh: 0.5000 0.5000 0.5000